This entry pairs a crystal structure of Li7Mn5O12 with its simulated powder X-ray diffraction pattern. Radiation: Cu Kα. Structure: a crystal structure in the Materials Project, relaxed with GGA+U.
Neutral-atom scattering factors, no anomalous dispersion.

Atomic structure:
a b c (Å): 5.8236 6.0059 14.4591
angles (deg): 93.73 90.41 118.94
Fractional coordinates of all 48 atoms:
Li 0.0000 0.0000 0.0000
Li 0.9999 0.9996 0.5001
Li 0.0019 0.5029 0.9996
Li 0.1581 0.8248 0.1710
Li 0.1758 0.3460 0.6624
Li 0.3182 0.1344 0.3493
Li 0.3295 0.6598 0.8331
Li 0.5001 0.9996 0.5001
Li 0.5002 0.4998 0.5000
Li 0.5010 0.0001 0.0001
Li 0.6707 0.3394 0.1669
Li 0.6817 0.8645 0.6510
Li 0.8243 0.6532 0.3376
Li 0.8423 0.1747 0.8293
Mn 0.0001 0.4998 0.5000
Mn 0.1704 0.3365 0.1648
Mn 0.1755 0.8458 0.6631
Mn 0.3243 0.1525 0.8364
Mn 0.3373 0.6658 0.3357
Mn 0.5002 0.4998 0.0001
Mn 0.6627 0.3333 0.6643
Mn 0.6757 0.8464 0.1637
Mn 0.8247 0.1537 0.3370
Mn 0.8294 0.6625 0.8352
O 0.0203 0.0035 0.7515
O 0.0292 0.5041 0.2480
O 0.1390 0.3205 0.4201
O 0.1551 0.7882 0.4209
O 0.1663 0.8543 0.9055
O 0.1885 0.3305 0.9164
O 0.3115 0.6672 0.5843
O 0.3439 0.2147 0.0787
O 0.3541 0.1821 0.5879
O 0.3639 0.6828 0.0781
O 0.4775 0.9925 0.7540
O 0.4949 0.4572 0.7612
O 0.5048 0.5415 0.2389
O 0.5225 0.0065 0.2462
O 0.6362 0.3165 0.9221
O 0.6459 0.8171 0.4120
O 0.6560 0.7846 0.9215
O 0.6887 0.3322 0.4158
O 0.8116 0.6687 0.0837
O 0.8334 0.1442 0.0947
O 0.8451 0.2113 0.5791
O 0.8611 0.6789 0.5800
O 0.9706 0.4951 0.7521
O 0.9797 0.9955 0.2487

Peak list (10 most intense, 2θ = 10–90°, in order of falling intensity)
Position (°2θ)	I (rel.)
18.30	100
40.97	32
44.22	27
44.47	26
34.13	15
61.96	15
36.45	12
36.30	12
63.95	9
61.74	8